# La2NdIn2Ag2
Computed powder diffraction line list, Cu Kα. Input: a PBE-relaxed structure.
Neutral-atom scattering factors, no anomalous dispersion.

Principal peaks in the range 15 to 90 degrees two-theta, low angle first:
30.88 deg, rel. 57
33.41 deg, rel. 81
36.39 deg, rel. 100
48.45 deg, rel. 16
50.23 deg, rel. 25
62.08 deg, rel. 15
63.09 deg, rel. 34
63.60 deg, rel. 25
65.49 deg, rel. 17
86.41 deg, rel. 14

Atomic structure:
a = 9.615 Å, b = 9.615 Å, c = 9.615 Å
α = 29.75°, β = 29.75°, γ = 29.75°
Sites, in units of the cell vectors:
La 0.128 0.128 0.128
La 0.872 0.872 0.872
Nd 0.000 0.000 0.000
In 0.265 0.265 0.265
In 0.735 0.735 0.735
Ag 0.396 0.396 0.396
Ag 0.604 0.604 0.604

# Li7In2Ag
Computed powder diffraction line list, Cu Kα. Input: a PBE-relaxed structure.
Neutral-atom scattering factors, no anomalous dispersion.

Principal peaks in the range 15 to 90 degrees two-theta, low angle first:
18.11 deg, rel. 37
23.89 deg, rel. 100
28.70 deg, rel. 30
35.39 deg, rel. 45
38.73 deg, rel. 40
43.07 deg, rel. 24
43.24 deg, rel. 24
46.02 deg, rel. 17
53.46 deg, rel. 13
61.67 deg, rel. 14

Atomic structure:
a = 4.650 Å, b = 4.650 Å, c = 9.796 Å
α = 90.00°, β = 90.00°, γ = 120.00°
Sites, in units of the cell vectors:
Li 0.000 0.000 0.000
Li 0.000 0.000 0.227
Li 0.000 0.000 0.464
Li 0.333 0.667 0.611
Li 0.333 0.667 0.960
Li 0.667 0.333 0.431
Li 0.667 0.333 0.821
In 0.000 0.000 0.732
In 0.333 0.667 0.283
Ag 0.667 0.333 0.137

# Li3In2Ag8
Computed powder diffraction line list, Cu Kα. Input: a PBE-relaxed structure.
Neutral-atom scattering factors, no anomalous dispersion.

Principal peaks in the range 15 to 90 degrees two-theta, low angle first:
17.77 deg, rel. 38
18.94 deg, rel. 36
33.95 deg, rel. 59
38.10 deg, rel. 61
38.43 deg, rel. 100
40.93 deg, rel. 26
42.76 deg, rel. 43
43.64 deg, rel. 55
61.98 deg, rel. 29
68.53 deg, rel. 29

Atomic structure:
a = 10.474 Å, b = 10.474 Å, c = 10.474 Å
α = 30.31°, β = 30.31°, γ = 30.31°
Sites, in units of the cell vectors:
Li 0.000 0.000 0.000
Li 0.186 0.186 0.186
Li 0.814 0.814 0.814
In 0.364 0.364 0.364
In 0.636 0.636 0.636
Ag 0.220 0.722 0.722
Ag 0.273 0.273 0.273
Ag 0.278 0.278 0.780
Ag 0.278 0.780 0.278
Ag 0.722 0.220 0.722
Ag 0.722 0.722 0.220
Ag 0.727 0.727 0.727
Ag 0.780 0.278 0.278

Repeat the second record exactly.
# Li7In2Ag
Computed powder diffraction line list, Cu Kα. Input: a PBE-relaxed structure.
Neutral-atom scattering factors, no anomalous dispersion.

Principal peaks in the range 15 to 90 degrees two-theta, low angle first:
18.11 deg, rel. 37
23.89 deg, rel. 100
28.70 deg, rel. 30
35.39 deg, rel. 45
38.73 deg, rel. 40
43.07 deg, rel. 24
43.24 deg, rel. 24
46.02 deg, rel. 17
53.46 deg, rel. 13
61.67 deg, rel. 14

Atomic structure:
a = 4.650 Å, b = 4.650 Å, c = 9.796 Å
α = 90.00°, β = 90.00°, γ = 120.00°
Sites, in units of the cell vectors:
Li 0.000 0.000 0.000
Li 0.000 0.000 0.227
Li 0.000 0.000 0.464
Li 0.333 0.667 0.611
Li 0.333 0.667 0.960
Li 0.667 0.333 0.431
Li 0.667 0.333 0.821
In 0.000 0.000 0.732
In 0.333 0.667 0.283
Ag 0.667 0.333 0.137